This entry pairs a crystal structure of Sr5Ir3O11 with its computed powder X-ray diffraction pattern. Radiation: Cu Ka. Structure: a cell relaxed with GGA-PBE.
Kinematic intensities with the Lorentz-polarization factor, no thermal factor.

The 6 most intense peaks (2θ = 10–90°), sorted by position:
h k l	2θ/deg	I (rel.)
0 0 3	15.84	22
1 1 4	31.02	100
2 0 0	31.91	58
2 2 0	45.76	30
2 0 8	54.62	21
1 3 4	56.31	39

Cell and atoms:
```
data_Sr5Ir3O11
_chemical_formula_sum 'Sr10 Ir6 O22'
_cell_length_a 5.6117
_cell_length_b 5.6059
_cell_length_c 16.7888
_cell_angle_alpha 90.00
_cell_angle_beta 90.04
_cell_angle_gamma 90.00
_symmetry_space_group_name_H-M 'C 1 2 1'
_symmetry_Int_Tables_number 5
_symmetry_space_group_name_Hall 'C 2y'
loop_
_atom_site_label
_atom_site_type_symbol
_atom_site_fract_x
_atom_site_fract_y
_atom_site_fract_z
Sr1 Sr 0.0000 0.0000 0.0000
Sr2 Sr 0.0002 0.0070 0.2306
Sr3 Sr 0.0000 0.5063 0.3896
Ir1 Ir 0.0000 0.0064 0.5000
Ir2 Ir 0.0007 0.5021 0.8767
O1 O 0.9999 0.0064 0.3758
O2 O 0.0000 0.4679 0.0000
O3 O 0.9996 0.5055 0.2449
O4 O 0.2399 0.7617 0.1180
O5 O 0.2423 0.7611 0.8772
O6 O 0.2496 0.2568 0.5000
```